Calculated powder XRD pattern of Fe4As2O11 for a wavelength of 1.5418 Å, from a cell relaxed with GGA+U.
Neutral-atom scattering factors, no anomalous dispersion.

Top 10 peaks for 10° ≤ 2θ ≤ 80°, in order of falling intensity:
- 3.192 Å, I = 100
- 3.013 Å, I = 52
- 2.928 Å, I = 39
- 2.987 Å, I = 39
- 2.499 Å, I = 31
- 2.817 Å, I = 25
- 3.162 Å, I = 25
- 2.305 Å, I = 22
- 4.209 Å, I = 22
- 2.528 Å, I = 21

Structure:
a b c (Å): 5.0494 6.4180 6.6933
angles (deg): 109.69 105.95 97.49
Atoms (fractional coordinates):
Fe 0.0000 0.0000 0.0000
Fe 0.2237 0.5088 0.0687
Fe 0.4500 0.1345 0.7892
Fe 0.7698 0.3929 0.2771
As 0.4444 0.5697 0.6333
As 0.7725 0.9537 0.4335
O 0.0417 0.9719 0.6698
O 0.1088 0.7569 0.0333
O 0.1749 0.5531 0.3999
O 0.3277 0.4101 0.7692
O 0.3743 0.2380 0.0773
O 0.4931 0.0431 0.5014
O 0.5699 0.8558 0.8227
O 0.6453 0.6688 0.2421
O 0.7244 0.4823 0.5648
O 0.8446 0.2882 0.9929
O 0.8892 0.1088 0.2929



Calculated powder XRD pattern of MnSbO4 for a wavelength of 1.5418 Å, from a cell relaxed with GGA+U.
Neutral-atom scattering factors, no anomalous dispersion.

Top 10 peaks for 10° ≤ 2θ ≤ 80°, in order of falling intensity:
- 3.693 Å, I = 100
- 3.675 Å, I = 99
- 2.441 Å, I = 44
- 2.534 Å, I = 33
- 2.468 Å, I = 32
- 1.768 Å, I = 31
- 1.991 Å, I = 23
- 1.980 Å, I = 23
- 1.751 Å, I = 22
- 1.745 Å, I = 22

Structure:
a b c (Å): 7.9979 7.9979 10.6428
angles (deg): 107.04 107.04 28.67
Atoms (fractional coordinates):
Mn 0.0000 0.0000 0.0000
Mn 0.2502 0.2502 0.2691
Mn 0.4998 0.4998 0.4994
Mn 0.7461 0.7461 0.7668
Sb 0.1869 0.1869 0.9528
Sb 0.4381 0.4381 0.1895
Sb 0.6861 0.6861 0.4496
Sb 0.9341 0.9341 0.6938
O 0.0515 0.0515 0.8525
O 0.1313 0.1313 0.0954
O 0.1986 0.1986 0.4214
O 0.2352 0.2352 0.7994
O 0.3015 0.3015 0.1047
O 0.3935 0.3935 0.3455
O 0.4432 0.4432 0.6696
O 0.4868 0.4868 0.0364
O 0.5548 0.5548 0.3398
O 0.6293 0.6293 0.5912
O 0.6969 0.6969 0.9203
O 0.7410 0.7410 0.3022
O 0.7977 0.7977 0.6086
O 0.8907 0.8907 0.8527
O 0.9469 0.9469 0.1522
O 0.9834 0.9834 0.5433



Calculated powder XRD pattern of Sm2FeP2O for a wavelength of 1.5418 Å, from a cell relaxed with GGA+U.
Neutral-atom scattering factors, no anomalous dispersion.

Top 10 peaks for 10° ≤ 2θ ≤ 80°, in order of falling intensity:
- 3.328 Å, I = 100
- 4.856 Å, I = 39
- 2.745 Å, I = 39
- 2.353 Å, I = 38
- 2.457 Å, I = 25
- 1.961 Å, I = 23
- 2.118 Å, I = 19
- 3.642 Å, I = 18
- 1.488 Å, I = 17
- 1.690 Å, I = 14

Structure:
a b c (Å): 3.3281 3.3281 14.5670
angles (deg): 90.00 90.00 90.00
Atoms (fractional coordinates):
Sm 0.0000 0.0000 0.1431
Sm 0.0000 0.0000 0.8569
Fe 0.0000 0.0000 0.5000
P 0.0000 0.0000 0.3438
P 0.0000 0.0000 0.6562
O 0.0000 0.0000 0.0000



Calculated powder XRD pattern of CaMnO2 for a wavelength of 1.5418 Å, from a cell relaxed with GGA+U.
Neutral-atom scattering factors, no anomalous dispersion.

Top 10 peaks for 10° ≤ 2θ ≤ 80°, in order of falling intensity:
- 2.001 Å, I = 100
- 2.799 Å, I = 63
- 2.851 Å, I = 41
- 2.020 Å, I = 40
- 1.636 Å, I = 25
- 2.863 Å, I = 24
- 5.117 Å, I = 15
- 1.257 Å, I = 14
- 1.606 Å, I = 14
- 1.400 Å, I = 13

Structure:
a b c (Å): 11.4029 3.2129 5.7256
angles (deg): 90.00 90.00 90.00
Atoms (fractional coordinates):
Ca 0.1354 0.2500 0.0045
Ca 0.3646 0.7500 0.5045
Ca 0.6354 0.2500 0.4955
Ca 0.8646 0.7500 0.9955
Mn 0.1118 0.2500 0.5090
Mn 0.3882 0.7500 0.0090
Mn 0.6118 0.2500 0.9910
Mn 0.8882 0.7500 0.4910
O 0.0484 0.7500 0.2652
O 0.1947 0.7500 0.7263
O 0.3053 0.2500 0.2263
O 0.4516 0.2500 0.7652
O 0.5484 0.7500 0.2348
O 0.6947 0.7500 0.7737
O 0.8053 0.2500 0.2737
O 0.9516 0.2500 0.7348



Calculated powder XRD pattern of Mg2Mn3O7 for a wavelength of 1.5418 Å, from a cell relaxed with GGA+U.
Neutral-atom scattering factors, no anomalous dispersion.

Top 10 peaks for 10° ≤ 2θ ≤ 80°, in order of falling intensity:
- 4.922 Å, I = 100
- 2.094 Å, I = 65
- 2.177 Å, I = 38
- 2.603 Å, I = 21
- 2.540 Å, I = 21
- 2.516 Å, I = 16
- 1.497 Å, I = 13
- 1.516 Å, I = 13
- 1.504 Å, I = 13
- 1.520 Å, I = 12

Structure:
a b c (Å): 6.0859 6.6401 7.8498
angles (deg): 114.90 98.99 103.74
Atoms (fractional coordinates):
Mg 0.1568 0.1581 0.4354
Mg 0.3245 0.1940 0.0357
Mg 0.6755 0.8060 0.9643
Mg 0.8432 0.8419 0.5646
Mn 0.0710 0.5806 0.7220
Mn 0.2221 0.7160 0.1417
Mn 0.3585 0.8627 0.5779
Mn 0.6415 0.1373 0.4221
Mn 0.7779 0.2840 0.8583
Mn 0.9290 0.4194 0.2780
O 0.0851 0.8041 0.3766
O 0.1085 0.3837 0.0894
O 0.1717 0.9304 0.7573
O 0.2221 0.5200 0.5069
O 0.3421 0.6390 0.9220
O 0.3459 0.0627 0.2301
O 0.4636 0.1826 0.6159
O 0.5364 0.8174 0.3841
O 0.6541 0.9373 0.7699
O 0.6579 0.3610 0.0780
O 0.7779 0.4800 0.4931
O 0.8283 0.0696 0.2427
O 0.8915 0.6163 0.9106
O 0.9149 0.1959 0.6234